1.
Structure and theoretical powder diffraction line list of NaCu2GeTe4 (a crystal structure in Alexandria, relaxed with GGA-PBE; Cu Kα).
Neutral-atom scattering factors, no anomalous dispersion.

Cell and atoms:
Cell: 7.358 7.357 6.482 Å, 63.87 63.85 52.27°
Atoms (fractional coordinates):
Na: 0.000 0.000 0.000
Cu: 0.250 0.250 0.250
Cu: 0.750 0.750 0.750
Ge: 0.501 0.501 0.499
Te: 0.131 0.584 0.416
Te: 0.417 0.870 0.583
Te: 0.584 0.131 0.869
Te: 0.870 0.417 0.130

Main lines, by angle (2θ from 5° to 70°):
- d = 5.648 Å, intensity 10
- d = 3.586 Å, intensity 100
- d = 3.241 Å, intensity 8
- d = 2.292 Å, intensity 25
- d = 2.152 Å, intensity 39
- d = 1.931 Å, intensity 31
- d = 1.770 Å, intensity 10
- d = 1.621 Å, intensity 7

***

2.
Structure and theoretical powder diffraction line list of Nd4CuGe8 (a crystal structure in Alexandria, relaxed with GGA-PBE; Cu Kα).
Neutral-atom scattering factors, no anomalous dispersion.

Cell and atoms:
Cell: 4.046 4.173 17.213 Å, 90.00 90.00 90.00°
Atoms (fractional coordinates):
Nd: 0.000 0.000 0.000
Nd: 0.000 0.500 0.494
Nd: 0.500 0.000 0.789
Nd: 0.500 0.500 0.284
Cu: 0.000 0.500 0.714
Ge: 0.000 0.000 0.341
Ge: 0.000 0.000 0.633
Ge: 0.000 0.500 0.139
Ge: 0.000 0.500 0.854
Ge: 0.500 0.000 0.145
Ge: 0.500 0.000 0.433
Ge: 0.500 0.500 0.633
Ge: 0.500 0.500 0.944

Main lines, by angle (2θ from 5° to 70°):
- d = 3.661 Å, intensity 14
- d = 2.868 Å, intensity 18
- d = 2.656 Å, intensity 23
- d = 2.592 Å, intensity 100
- d = 2.340 Å, intensity 18
- d = 2.087 Å, intensity 19
- d = 2.023 Å, intensity 17
- d = 1.452 Å, intensity 12

***

3.
Structure and theoretical powder diffraction line list of Nd3Cu7Ge4 (a crystal structure in Alexandria, relaxed with GGA-PBE; Cu Kα).
Neutral-atom scattering factors, no anomalous dispersion.

Cell and atoms:
Cell: 8.065 8.065 9.139 Å, 124.29 124.29 30.54°
Atoms (fractional coordinates):
Nd: 0.000 0.000 0.000
Nd: 0.304 0.304 0.300
Nd: 0.696 0.696 0.700
Cu: 0.000 0.000 0.500
Cu: 0.139 0.139 0.869
Cu: 0.333 0.333 0.685
Cu: 0.498 0.498 0.298
Cu: 0.502 0.502 0.702
Cu: 0.667 0.667 0.315
Cu: 0.861 0.861 0.131
Ge: 0.125 0.125 0.410
Ge: 0.342 0.342 0.972
Ge: 0.658 0.658 0.028
Ge: 0.875 0.875 0.590

Main lines, by angle (2θ from 5° to 70°):
- d = 2.991 Å, intensity 22
- d = 2.502 Å, intensity 100
- d = 2.475 Å, intensity 52
- d = 2.441 Å, intensity 21
- d = 2.306 Å, intensity 22
- d = 2.171 Å, intensity 14
- d = 2.124 Å, intensity 43
- d = 2.105 Å, intensity 19